[1]
# U2CuS2N2
Calculated powder diffraction line list, CuKα. Input: a DFT-relaxed cell (GGA-PBE, Alexandria).

Cell and atoms:
Lattice parameters (Å, degrees): 3.8181 3.8181 10.5125 90.00 90.00 120.00
Atoms (fractional coordinates):
U 0.3333 0.6667 0.1360
U 0.6667 0.3333 0.8640
Cu 0.0000 0.0000 0.5000
S 0.0000 0.0000 0.2974
S 0.0000 0.0000 0.7026
N 0.3333 0.6667 0.9199
N 0.6667 0.3333 0.0801

Most intense lines, 10° ≤ 2θ ≤ 80°, in order of falling intensity:
d/Å, two_theta, I_rel
3.154, 28.29, 100
2.799, 31.98, 70
1.909, 47.63, 32
2.057, 44.01, 25
3.504, 25.42, 23
2.405, 37.39, 22



[2]
# Pm5Ni2Ag
Calculated powder diffraction line list, CuKα. Input: a DFT-relaxed cell (GGA-PBE, Alexandria).

Cell and atoms:
Lattice parameters (Å, degrees): 8.6607 8.6607 8.6607 125.74 125.74 80.32
Atoms (fractional coordinates):
Pm 0.0000 0.0000 0.0000
Pm 0.0249 0.5249 0.8234
Pm 0.2015 0.0249 0.5000
Pm 0.2985 0.7985 0.8234
Pm 0.4751 0.2985 0.5000
Pm 0.5000 0.5000 0.0000
Pm 0.5249 0.7015 0.5000
Pm 0.7015 0.2015 0.1766
Pm 0.7985 0.9751 0.5000
Pm 0.9751 0.4751 0.1766
Ni 0.1221 0.3779 0.5000
Ni 0.3779 0.8779 0.2559
Ni 0.6221 0.1221 0.7441
Ni 0.8779 0.6221 0.5000
Ag 0.2500 0.2500 0.0000
Ag 0.7500 0.7500 0.0000

Most intense lines, 10° ≤ 2θ ≤ 80°, in order of falling intensity:
d/Å, two_theta, I_rel
2.758, 32.47, 100
2.498, 35.95, 69
2.537, 35.39, 48
3.413, 26.11, 32
2.847, 31.42, 30
1.623, 56.73, 27



[3]
# AsH2Br3
Calculated powder diffraction line list, CuKα. Input: a DFT-relaxed cell (GGA-PBE, Alexandria).

Cell and atoms:
Lattice parameters (Å, degrees): 6.9372 6.9372 7.6065 90.90 90.90 71.47
Atoms (fractional coordinates):
As 0.0368 0.9632 0.7500
As 0.9632 0.0368 0.2500
H 0.2071 0.4994 0.2617
H 0.4994 0.2071 0.7617
H 0.5006 0.7929 0.2383
H 0.7929 0.5006 0.7383
Br 0.1672 0.1692 0.0046
Br 0.1692 0.1672 0.5046
Br 0.3278 0.6722 0.7500
Br 0.6722 0.3278 0.2500
Br 0.8308 0.8328 0.4954
Br 0.8328 0.8308 0.9954

Most intense lines, 10° ≤ 2θ ≤ 80°, in order of falling intensity:
d/Å, two_theta, I_rel
6.577, 13.46, 100
3.124, 28.57, 50
4.052, 21.94, 42
2.627, 34.14, 38
3.180, 28.06, 36
4.947, 17.93, 31



[4]
# La5YAl2
Calculated powder diffraction line list, CuKα. Input: a DFT-relaxed cell (GGA-PBE, Alexandria).

Cell and atoms:
Lattice parameters (Å, degrees): 5.5004 5.5004 20.3871 90.00 90.00 120.00
Atoms (fractional coordinates):
La 0.0000 0.0000 0.1534
La 0.0000 0.0000 0.3466
La 0.0000 0.0000 0.6534
La 0.0000 0.0000 0.8466
La 0.3333 0.6667 0.0541
La 0.3333 0.6667 0.2500
La 0.3333 0.6667 0.4459
La 0.6667 0.3333 0.5541
La 0.6667 0.3333 0.7500
La 0.6667 0.3333 0.9459
Y 0.3333 0.6667 0.7500
Y 0.6667 0.3333 0.2500
Al 0.3333 0.6667 0.6024
Al 0.3333 0.6667 0.8976
Al 0.6667 0.3333 0.1024
Al 0.6667 0.3333 0.3976

Most intense lines, 10° ≤ 2θ ≤ 80°, in order of falling intensity:
d/Å, two_theta, I_rel
2.750, 32.56, 100
3.480, 25.60, 58
2.766, 32.36, 56
3.098, 28.82, 31
1.638, 56.16, 30
1.591, 57.97, 21



[5]
# Sm2YTe3
Calculated powder diffraction line list, CuKα. Input: a DFT-relaxed cell (GGA-PBE, Alexandria).

Cell and atoms:
Lattice parameters (Å, degrees): 7.6419 7.6419 7.6419 146.23 131.89 60.07
Atoms (fractional coordinates):
Sm 0.1718 0.1718 0.0000
Sm 0.8282 0.8282 0.0000
Y 0.5000 0.5000 0.0000
Te 0.0000 0.5000 0.5000
Te 0.3386 0.8386 0.5000
Te 0.6614 0.1614 0.5000

Most intense lines, 10° ≤ 2θ ≤ 80°, in order of falling intensity:
d/Å, two_theta, I_rel
3.129, 28.53, 100
2.207, 40.89, 94
3.115, 28.66, 50
1.395, 67.11, 25
1.808, 50.49, 21
1.800, 50.72, 20



[6]
# Li2Pu2Rh3
Calculated powder diffraction line list, CuKα. Input: a DFT-relaxed cell (GGA-PBE, Alexandria).

Cell and atoms:
Lattice parameters (Å, degrees): 11.2587 11.2587 2.9872 90.00 90.00 161.47
Atoms (fractional coordinates):
Li 0.2167 0.7833 0.0000
Li 0.7833 0.2167 0.0000
Pu 0.0819 0.9181 0.0000
Pu 0.9181 0.0819 0.0000
Rh 0.3421 0.6579 0.5000
Rh 0.5000 0.5000 0.5000
Rh 0.6579 0.3421 0.5000

Most intense lines, 10° ≤ 2θ ≤ 80°, in order of falling intensity:
d/Å, two_theta, I_rel
2.293, 39.29, 100
2.325, 38.73, 79
2.388, 37.66, 69
2.809, 31.85, 65
5.556, 15.95, 35
1.430, 65.27, 34



[7]
# Cs2Pm3F10
Calculated powder diffraction line list, CuKα. Input: a DFT-relaxed cell (GGA-PBE, Alexandria).

Cell and atoms:
Lattice parameters (Å, degrees): 11.3601 11.3601 8.8735 111.00 111.00 39.65
Atoms (fractional coordinates):
Cs 0.1053 0.1053 0.1657
Cs 0.2141 0.2141 0.8562
Cs 0.7859 0.7859 0.1438
Cs 0.8947 0.8947 0.8343
Pm 0.2421 0.7579 0.5000
Pm 0.3123 0.3123 0.4854
Pm 0.4202 0.4202 0.0504
Pm 0.5798 0.5798 0.9496
Pm 0.6877 0.6877 0.5146
Pm 0.7579 0.2421 0.5000
F 0.0000 0.5000 0.5000
F 0.0383 0.0383 0.4119
F 0.1334 0.5690 0.0282
F 0.1975 0.5813 0.4675
F 0.2497 0.2497 0.2257
F 0.3215 0.6785 0.0000
F 0.3616 0.3616 0.7672
F 0.4187 0.8025 0.5325
F 0.4310 0.8666 0.9718
F 0.4831 0.4831 0.3334
F 0.5000 0.0000 0.5000
F 0.5169 0.5169 0.6666
F 0.5690 0.1334 0.0282
F 0.5813 0.1975 0.4675
F 0.6384 0.6384 0.2328
F 0.6785 0.3215 0.0000
F 0.7503 0.7503 0.7743
F 0.8025 0.4187 0.5325
F 0.8666 0.4310 0.9718
F 0.9617 0.9617 0.5881

Most intense lines, 10° ≤ 2θ ≤ 80°, in order of falling intensity:
d/Å, two_theta, I_rel
3.811, 23.34, 100
3.750, 23.73, 98
3.561, 25.00, 69
4.102, 21.66, 47
2.615, 34.29, 41
3.853, 23.09, 39



[8]
# K2SF6
Calculated powder diffraction line list, CuKα. Input: a DFT-relaxed cell (GGA-PBE, Alexandria).

Cell and atoms:
Lattice parameters (Å, degrees): 5.9254 5.9254 5.9254 60.00 60.00 60.00
Atoms (fractional coordinates):
K 0.2500 0.2500 0.2500
K 0.7500 0.7500 0.7500
S 0.0000 0.0000 0.0000
F 0.2237 0.2237 0.7763
F 0.2237 0.7763 0.2237
F 0.2237 0.7763 0.7763
F 0.7763 0.2237 0.2237
F 0.7763 0.2237 0.7763
F 0.7763 0.7763 0.2237

Most intense lines, 10° ≤ 2θ ≤ 80°, in order of falling intensity:
d/Å, two_theta, I_rel
2.419, 37.17, 100
2.095, 43.18, 90
4.838, 18.34, 78
2.963, 30.17, 67
1.481, 62.72, 44
1.711, 53.58, 19



[9]
# AcPrSm4Se8
Calculated powder diffraction line list, CuKα. Input: a DFT-relaxed cell (GGA-PBE, Alexandria).

Cell and atoms:
Lattice parameters (Å, degrees): 8.7400 8.7400 8.7400 59.71 59.71 59.71
Atoms (fractional coordinates):
Ac 0.0000 0.0000 0.0000
Pr 0.3768 0.3768 0.3768
Sm 0.3765 0.3765 0.8673
Sm 0.3765 0.8673 0.3765
Sm 0.7485 0.7485 0.7485
Sm 0.8673 0.3765 0.3765
Se 0.1344 0.1344 0.5860
Se 0.1344 0.5860 0.1344
Se 0.1379 0.1379 0.1379
Se 0.1414 0.6218 0.6218
Se 0.5860 0.1344 0.1344
Se 0.6172 0.6172 0.6172
Se 0.6218 0.1414 0.6218
Se 0.6218 0.6218 0.1414

Most intense lines, 10° ≤ 2θ ≤ 80°, in order of falling intensity:
d/Å, two_theta, I_rel
3.721, 23.91, 100
2.175, 41.51, 66
2.185, 41.32, 66
2.375, 37.88, 51
3.083, 28.96, 51
4.361, 20.36, 49



[10]
# Ba2BiPb6
Calculated powder diffraction line list, CuKα. Input: a DFT-relaxed cell (GGA-PBE, Alexandria).

Cell and atoms:
Lattice parameters (Å, degrees): 5.1643 14.3594 14.3594 18.79 90.00 90.00
Atoms (fractional coordinates):
Ba 0.0000 0.0000 0.0000
Ba 0.0000 0.3483 0.3483
Bi 0.5000 0.5434 0.5434
Pb 0.0000 0.6219 0.6219
Pb 0.0000 0.7407 0.7407
Pb 0.5000 0.1255 0.1255
Pb 0.5000 0.2406 0.2406
Pb 0.5000 0.4352 0.4352
Pb 0.5000 0.8190 0.8190

Most intense lines, 10° ≤ 2θ ≤ 80°, in order of falling intensity:
d/Å, two_theta, I_rel
3.258, 27.37, 100
2.635, 34.02, 69
2.582, 34.74, 38
2.344, 38.40, 29
2.833, 31.58, 24
1.736, 52.74, 23



[11]
# TbNi6Ge4
Calculated powder diffraction line list, CuKα. Input: a DFT-relaxed cell (GGA-PBE, Alexandria).

Cell and atoms:
Lattice parameters (Å, degrees): 6.8230 6.8230 3.7843 90.00 90.00 120.00
Atoms (fractional coordinates):
Tb 0.0000 0.0000 0.0000
Ni 0.2055 0.4111 0.5000
Ni 0.2055 0.7945 0.5000
Ni 0.5370 0.0739 0.0000
Ni 0.5370 0.4630 0.0000
Ni 0.5889 0.7945 0.5000
Ni 0.9261 0.4630 0.0000
Ge 0.3333 0.6667 0.0000
Ge 0.3842 0.1921 0.5000
Ge 0.8079 0.1921 0.5000
Ge 0.8079 0.6158 0.5000

Most intense lines, 10° ≤ 2θ ≤ 80°, in order of falling intensity:
d/Å, two_theta, I_rel
2.329, 38.66, 100
2.534, 35.43, 50
2.233, 40.39, 43
1.892, 48.09, 30
1.923, 47.26, 29
1.706, 53.74, 28



[12]
# Tb2Cd6In5
Calculated powder diffraction line list, CuKα. Input: a DFT-relaxed cell (GGA-PBE, Alexandria).

Cell and atoms:
Lattice parameters (Å, degrees): 8.8531 8.8531 8.8531 60.52 60.52 60.52
Atoms (fractional coordinates):
Tb 0.1403 0.1403 0.1403
Tb 0.8597 0.8597 0.8597
Cd 0.1773 0.5000 0.8227
Cd 0.1773 0.8227 0.5000
Cd 0.5000 0.1773 0.8227
Cd 0.5000 0.8227 0.1773
Cd 0.8227 0.1773 0.5000
Cd 0.8227 0.5000 0.1773
In 0.0000 0.0000 0.0000
In 0.2809 0.2809 0.2809
In 0.4232 0.4232 0.4232
In 0.5768 0.5768 0.5768
In 0.7191 0.7191 0.7191

Most intense lines, 10° ≤ 2θ ≤ 80°, in order of falling intensity:
d/Å, two_theta, I_rel
2.576, 34.83, 100
7.200, 12.29, 90
4.461, 19.90, 50
2.866, 31.21, 39
2.121, 42.62, 37
2.425, 37.07, 37



Please write out number 6 again, unchanged.
# Li2Pu2Rh3
Calculated powder diffraction line list, CuKα. Input: a DFT-relaxed cell (GGA-PBE, Alexandria).

Cell and atoms:
Lattice parameters (Å, degrees): 11.2587 11.2587 2.9872 90.00 90.00 161.47
Atoms (fractional coordinates):
Li 0.2167 0.7833 0.0000
Li 0.7833 0.2167 0.0000
Pu 0.0819 0.9181 0.0000
Pu 0.9181 0.0819 0.0000
Rh 0.3421 0.6579 0.5000
Rh 0.5000 0.5000 0.5000
Rh 0.6579 0.3421 0.5000

Most intense lines, 10° ≤ 2θ ≤ 80°, in order of falling intensity:
d/Å, two_theta, I_rel
2.293, 39.29, 100
2.325, 38.73, 79
2.388, 37.66, 69
2.809, 31.85, 65
5.556, 15.95, 35
1.430, 65.27, 34